Calculated powder diffraction line list of HoBiAu4 for λ = 1.5418 Å (Cu Kα), from a structure optimized by DFT (GGA-PBE).

Cell and atoms:
```
data_HoBiAu4
_cell_length_a 4.8531
_cell_length_b 4.8531
_cell_length_c 6.4251
_cell_angle_alpha 90.00
_cell_angle_beta 90.00
_cell_angle_gamma 120.00
_space_group_name_H-M_alt 'P 6/m m m'
_space_group_IT_number 191
_space_group_name_Hall '-P 6 2'
loop_
_atom_site_label
_atom_site_type_symbol
_atom_site_fract_x
_atom_site_fract_y
_atom_site_fract_z
Ho1 Ho 0.0000 0.0000 0.0000
Bi1 Bi 0.0000 0.0000 0.5000
Au1 Au 0.3333 0.6667 0.2333
```

Main lines, in order of rising 2θ (2θ from 15° to 90°):
d_spacing	2θ/deg	I_rel	index
2.552	35.2	98	1 0 2
2.427	37.0	100	1 1 0
1.936	46.9	13	1 1 2
1.759	52.0	33	2 0 2
1.606	57.4	12	0 0 4
1.424	65.6	33	2 1 2
1.401	66.8	18	3 0 0
1.339	70.3	28	1 1 4
1.213	78.9	12	2 2 0
1.096	89.4	16	3 1 2